Structure and computed powder XRD pattern of RbBe2CdCl8 (a DFT-relaxed cell (PBE, Alexandria); Cu Kα (weighted mean of Kα1 and Kα2)).
Lines closer than 0.1° are merged.

Main lines, in order of falling intensity (5° ≤ 2θ ≤ 70°):
- 2θ 34.8, I = 100
- 2θ 20.9, I = 75
- 2θ 30.3, I = 44
- 2θ 49.2, I = 35
- 2θ 17.7, I = 31
- 2θ 50.8, I = 31

Structure:
abc: 9.878 9.878 9.878
angles: 36.75 36.75 36.75
Fractional positions:
Rb 0.000 0.000 0.000
Be 0.245 0.245 0.245
Be 0.755 0.755 0.755
Cd 0.500 0.500 0.500
Cl 0.085 0.783 0.462
Cl 0.217 0.538 0.915
Cl 0.318 0.318 0.318
Cl 0.462 0.085 0.783
Cl 0.538 0.915 0.217
Cl 0.682 0.682 0.682
Cl 0.783 0.462 0.085
Cl 0.915 0.217 0.538